Entry 1:
Structure and theoretical X-ray powder pattern of La2Pm5DyMg (a structure optimized by DFT (PBE); Cu Kα X-rays).
Kinematic intensities with the Lorentz-polarization factor, no thermal factor.

Main lines, sorted by position (2θ from 10° to 90°):
two_theta	I_rel
26.5	8
27.7	15
29.9	34
31.9	100
33.2	12
42.8	9
46.8	9
50.2	8
55.6	7
56.9	19
58.7	8
60.7	10

Atomic structure:
abc: 10.516 10.516 10.784
angles: 90.00 90.00 149.09
Atoms (fractional coordinates):
La (0.116, 0.884, 0.541)
La (0.116, 0.884, 0.959)
La (0.884, 0.116, 0.041)
La (0.884, 0.116, 0.459)
Pm (0.015, 0.985, 0.250)
Pm (0.287, 0.713, 0.554)
Pm (0.287, 0.713, 0.946)
Pm (0.380, 0.620, 0.250)
Pm (0.500, 0.500, 0.000)
Pm (0.500, 0.500, 0.500)
Pm (0.620, 0.380, 0.750)
Pm (0.713, 0.287, 0.054)
Pm (0.713, 0.287, 0.446)
Pm (0.985, 0.015, 0.750)
Dy (0.202, 0.798, 0.250)
Dy (0.798, 0.202, 0.750)
Mg (0.405, 0.595, 0.750)
Mg (0.595, 0.405, 0.250)

Entry 2:
Structure and theoretical X-ray powder pattern of La5Pr2DyMg (a structure optimized by DFT (PBE); Cu Kα X-rays).
Kinematic intensities with the Lorentz-polarization factor, no thermal factor.

Main lines, sorted by position (2θ from 10° to 90°):
two_theta	I_rel
26.0	7
27.6	12
29.2	33
31.5	100
32.3	13
42.4	8
45.8	10
49.1	8
55.7	7
56.2	17
58.2	7
59.5	9

Atomic structure:
abc: 10.541 10.541 11.098
angles: 90.00 90.00 148.79
Atoms (fractional coordinates):
La (0.000, 0.000, 0.000)
La (0.000, 0.000, 0.500)
La (0.123, 0.877, 0.750)
La (0.213, 0.787, 0.450)
La (0.214, 0.786, 0.052)
La (0.488, 0.512, 0.750)
La (0.512, 0.488, 0.250)
La (0.786, 0.214, 0.552)
La (0.787, 0.213, 0.950)
La (0.877, 0.123, 0.250)
Pr (0.383, 0.617, 0.461)
Pr (0.384, 0.616, 0.039)
Pr (0.616, 0.384, 0.539)
Pr (0.617, 0.383, 0.961)
Dy (0.307, 0.693, 0.751)
Dy (0.693, 0.307, 0.251)
Mg (0.095, 0.905, 0.250)
Mg (0.905, 0.095, 0.750)

Entry 3:
Structure and theoretical X-ray powder pattern of La2Pr2DyMg5 (a structure optimized by DFT (PBE); Cu Kα X-rays).
Kinematic intensities with the Lorentz-polarization factor, no thermal factor.

Main lines, sorted by position (2θ from 10° to 90°):
two_theta	I_rel
17.1	78
23.4	12
26.2	44
29.1	19
31.4	100
34.3	15
34.7	55
43.9	22
46.4	11
51.1	11
60.1	16
65.6	11

Atomic structure:
abc: 10.770 10.770 5.177
angles: 90.00 90.00 90.00
Atoms (fractional coordinates):
La (0.174, 0.326, 0.000)
La (0.326, 0.826, 0.000)
La (0.674, 0.174, 0.000)
La (0.826, 0.674, 0.000)
Pr (0.125, 0.625, 0.000)
Pr (0.375, 0.125, 0.000)
Pr (0.625, 0.875, 0.000)
Pr (0.875, 0.375, 0.000)
Dy (0.000, 0.000, 0.000)
Dy (0.500, 0.500, 0.000)
Mg (0.000, 0.500, 0.500)
Mg (0.073, 0.808, 0.500)
Mg (0.192, 0.073, 0.500)
Mg (0.308, 0.573, 0.500)
Mg (0.427, 0.308, 0.500)
Mg (0.500, 0.000, 0.500)
Mg (0.573, 0.692, 0.500)
Mg (0.692, 0.427, 0.500)
Mg (0.808, 0.927, 0.500)
Mg (0.927, 0.192, 0.500)

Entry 4:
Structure and theoretical X-ray powder pattern of LaSm4Dy2Mg (a structure optimized by DFT (PBE); Cu Kα X-rays).
Kinematic intensities with the Lorentz-polarization factor, no thermal factor.

Main lines, sorted by position (2θ from 10° to 90°):
two_theta	I_rel
30.4	58
32.1	100
43.6	22
48.5	8
55.2	43
58.3	18
63.4	7
67.2	12
71.9	10
72.8	9
80.0	7
88.9	12

Atomic structure:
abc: 5.873 5.873 7.514
angles: 90.00 90.00 90.00
Atoms (fractional coordinates):
La (0.000, 0.000, 0.000)
Sm (0.000, 0.500, 0.246)
Sm (0.000, 0.500, 0.754)
Sm (0.500, 0.000, 0.246)
Sm (0.500, 0.000, 0.754)
Dy (0.000, 0.000, 0.500)
Dy (0.500, 0.500, 0.500)
Mg (0.500, 0.500, 0.000)

Entry 5:
Structure and theoretical X-ray powder pattern of LaDyPaN3 (a structure optimized by DFT (PBE); Cu Kα X-rays).
Kinematic intensities with the Lorentz-polarization factor, no thermal factor.

Main lines, sorted by position (2θ from 10° to 90°):
two_theta	I_rel
16.0	15
29.5	40
29.6	35
30.0	14
31.7	100
33.5	93
35.8	14
39.3	18
51.0	17
52.5	13
53.0	14
60.1	22

Atomic structure:
abc: 6.090 3.580 9.286
angles: 90.00 101.69 90.00
Atoms (fractional coordinates):
La (0.156, 0.250, 0.199)
La (0.844, 0.750, 0.801)
Dy (0.264, 0.750, 0.540)
Dy (0.736, 0.250, 0.460)
Pa (0.359, 0.250, 0.847)
Pa (0.641, 0.750, 0.153)
N (0.050, 0.250, 0.665)
N (0.277, 0.750, 0.995)
N (0.465, 0.750, 0.344)
N (0.535, 0.250, 0.656)
N (0.723, 0.250, 0.005)
N (0.950, 0.750, 0.335)

Entry 6:
Structure and theoretical X-ray powder pattern of LaDyTh2N4 (a structure optimized by DFT (PBE); Cu Kα X-rays).
Kinematic intensities with the Lorentz-polarization factor, no thermal factor.

Main lines, sorted by position (2θ from 10° to 90°):
two_theta	I_rel
30.0	100
30.2	33
34.8	91
49.9	33
50.2	11
50.3	21
59.3	16
59.4	10
59.5	21
59.8	15
62.4	11
73.5	10

Atomic structure:
abc: 6.273 3.650 6.336
angles: 90.00 109.55 90.00
Atoms (fractional coordinates):
La (0.000, 0.000, 0.000)
Dy (0.000, 0.500, 0.500)
Th (0.500, 0.000, 0.500)
Th (0.500, 0.500, 0.000)
N (0.255, 0.000, 0.743)
N (0.264, 0.500, 0.263)
N (0.736, 0.500, 0.737)
N (0.745, 0.000, 0.257)

Entry 7:
Structure and theoretical X-ray powder pattern of La2DyUN5 (a structure optimized by DFT (PBE); Cu Kα X-rays).
Kinematic intensities with the Lorentz-polarization factor, no thermal factor.

Main lines, sorted by position (2θ from 10° to 90°):
two_theta	I_rel
29.3	100
30.8	54
39.8	14
44.1	23
51.1	24
53.8	39
60.9	16
65.9	9
72.8	9
82.7	10
86.3	11
88.5	10

Atomic structure:
abc: 4.109 4.109 9.064
angles: 90.00 90.00 90.00
Atoms (fractional coordinates):
La (0.000, 0.000, 0.232)
La (0.000, 0.000, 0.768)
Dy (0.500, 0.500, 0.500)
U (0.500, 0.500, 0.000)
N (0.000, 0.000, 0.500)
N (0.000, 0.500, 0.000)
N (0.500, 0.000, 0.000)
N (0.500, 0.500, 0.251)
N (0.500, 0.500, 0.749)

Entry 8:
Structure and theoretical X-ray powder pattern of La2DyZrN4 (a structure optimized by DFT (PBE); Cu Kα X-rays).
Kinematic intensities with the Lorentz-polarization factor, no thermal factor.

Main lines, sorted by position (2θ from 10° to 90°):
two_theta	I_rel
30.4	35
31.2	97
35.9	100
51.1	12
51.2	23
52.2	33
60.7	10
61.7	20
62.1	14
65.0	11
86.5	10
88.0	15

Atomic structure:
abc: 6.073 3.503 6.214
angles: 90.00 108.85 90.00
Atoms (fractional coordinates):
La (0.000, 0.000, 0.000)
La (0.500, 0.500, 0.000)
Dy (0.000, 0.500, 0.500)
Zr (0.500, 0.000, 0.500)
N (0.255, 0.000, 0.722)
N (0.271, 0.500, 0.282)
N (0.729, 0.500, 0.718)
N (0.745, 0.000, 0.278)

Entry 9:
Structure and theoretical X-ray powder pattern of NaLaDy (a structure optimized by DFT (PBE); Cu Kα X-rays).
Kinematic intensities with the Lorentz-polarization factor, no thermal factor.

Main lines, sorted by position (2θ from 10° to 90°):
two_theta	I_rel
12.0	63
21.6	12
30.3	100
31.3	93
33.6	34
44.1	36
55.1	37
55.7	18
59.8	27
65.3	11
73.6	15
77.8	12

Atomic structure:
abc: 9.906 5.719 7.351
angles: 90.00 90.02 90.00
Atoms (fractional coordinates):
Na (0.167, 0.000, 0.001)
Na (0.333, 0.500, 0.999)
Na (0.667, 0.500, 0.001)
Na (0.833, 0.000, 0.999)
La (0.000, 0.499, 0.268)
La (0.000, 0.499, 0.732)
La (0.500, 0.999, 0.268)
La (0.500, 0.999, 0.732)
Dy (0.167, 0.999, 0.500)
Dy (0.333, 0.499, 0.500)
Dy (0.667, 0.499, 0.500)
Dy (0.833, 0.999, 0.500)

Entry 10:
Structure and theoretical X-ray powder pattern of Na4LaDy3Te8 (a structure optimized by DFT (PBE); Cu Kα X-rays).
Kinematic intensities with the Lorentz-polarization factor, no thermal factor.

Main lines, sorted by position (2θ from 10° to 90°):
two_theta	I_rel
11.7	32
23.3	13
27.9	100
36.1	10
39.3	38
40.2	37
42.1	9
49.6	20
57.5	12
64.5	17
65.7	17
72.5	12

Atomic structure:
abc: 9.165 9.165 9.165
angles: 58.55 58.55 58.55
Atoms (fractional coordinates):
Na (0.000, 0.000, 0.000)
Na (0.000, 0.500, 0.500)
Na (0.500, 0.000, 0.500)
Na (0.500, 0.500, 0.000)
La (0.500, 0.500, 0.500)
Dy (0.000, 0.000, 0.500)
Dy (0.000, 0.500, 0.000)
Dy (0.500, 0.000, 0.000)
Te (0.235, 0.750, 0.750)
Te (0.243, 0.243, 0.243)
Te (0.250, 0.250, 0.765)
Te (0.250, 0.765, 0.250)
Te (0.750, 0.235, 0.750)
Te (0.750, 0.750, 0.235)
Te (0.757, 0.757, 0.757)
Te (0.765, 0.250, 0.250)

Entry 11:
Structure and theoretical X-ray powder pattern of NaLaDy2Tl4 (a structure optimized by DFT (PBE); Cu Kα X-rays).
Kinematic intensities with the Lorentz-polarization factor, no thermal factor.

Main lines, sorted by position (2θ from 10° to 90°):
two_theta	I_rel
23.1	14
32.6	100
33.3	97
47.3	36
57.7	18
59.0	37
59.5	19
68.3	11
69.9	12
78.1	15
79.3	16
88.7	6

Atomic structure:
abc: 9.582 9.582 9.582
angles: 32.63 32.63 32.63
Atoms (fractional coordinates):
Na (0.000, 0.000, 0.000)
La (0.500, 0.500, 0.500)
Dy (0.255, 0.255, 0.255)
Dy (0.745, 0.745, 0.745)
Tl (0.122, 0.122, 0.122)
Tl (0.373, 0.373, 0.373)
Tl (0.627, 0.627, 0.627)
Tl (0.878, 0.878, 0.878)

Entry 12:
Structure and theoretical X-ray powder pattern of La2Nd5Dy6 (a structure optimized by DFT (PBE); Cu Kα X-rays).
Kinematic intensities with the Lorentz-polarization factor, no thermal factor.

Main lines, sorted by position (2θ from 10° to 90°):
two_theta	I_rel
28.8	25
30.1	17
30.5	60
31.1	100
31.7	86
33.7	41
34.5	27
36.1	24
50.3	20
51.3	19
60.0	21
60.3	19

Atomic structure:
abc: 11.833 20.759 3.628
angles: 90.00 90.00 90.00
Atoms (fractional coordinates):
La (0.174, 0.224, 0.000)
La (0.326, 0.724, 0.000)
La (0.674, 0.276, 0.000)
La (0.826, 0.776, 0.000)
Nd (0.000, 0.500, 0.500)
Nd (0.085, 0.784, 0.500)
Nd (0.201, 0.056, 0.500)
Nd (0.299, 0.556, 0.500)
Nd (0.415, 0.284, 0.500)
Nd (0.500, 0.000, 0.500)
Nd (0.585, 0.716, 0.500)
Nd (0.701, 0.444, 0.500)
Nd (0.799, 0.944, 0.500)
Nd (0.915, 0.216, 0.500)
Dy (0.064, 0.927, 0.000)
Dy (0.071, 0.639, 0.000)
Dy (0.184, 0.376, 0.500)
Dy (0.316, 0.876, 0.500)
Dy (0.429, 0.139, 0.000)
Dy (0.436, 0.427, 0.000)
Dy (0.564, 0.573, 0.000)
Dy (0.571, 0.861, 0.000)
Dy (0.684, 0.124, 0.500)
Dy (0.816, 0.624, 0.500)
Dy (0.929, 0.361, 0.000)
Dy (0.936, 0.073, 0.000)

Entry 13:
Structure and theoretical X-ray powder pattern of La4Nd2Dy3 (a structure optimized by DFT (PBE); Cu Kα X-rays).
Kinematic intensities with the Lorentz-polarization factor, no thermal factor.

Main lines, sorted by position (2θ from 10° to 90°):
two_theta	I_rel
29.5	41
30.4	58
31.1	75
31.4	100
32.6	25
42.8	30
46.7	11
53.7	13
54.4	15
54.6	21
56.7	12
62.0	12

Atomic structure:
abc: 6.534 6.534 9.329
angles: 101.40 101.40 53.57
Atoms (fractional coordinates):
La (0.192, 0.192, 0.456)
La (0.262, 0.262, 0.129)
La (0.738, 0.738, 0.871)
La (0.808, 0.808, 0.544)
Nd (0.066, 0.066, 0.789)
Nd (0.934, 0.934, 0.211)
Dy (0.398, 0.398, 0.821)
Dy (0.500, 0.500, 0.500)
Dy (0.602, 0.602, 0.179)